For TbCrAs2O8, a crystal structure in Alexandria, relaxed with GGA+U gives the simulated powder diffractogram in this record (Cu Kα (λ = 1.5418 Å)).

Crystal structure
```
data_TbCrAs2O8
_chemical_formula_sum 'Tb2 Cr2 As4 O16'
_cell_length_a 6.926
_cell_length_b 6.926
_cell_length_c 6.307
_cell_angle_alpha 90.00
_cell_angle_beta 90.00
_cell_angle_gamma 90.00
_space_group_name_H-M_alt 'I -4 m 2'
_space_group_IT_number 119
_space_group_name_Hall 'I -4 -2'
loop_
_atom_site_label
_atom_site_type_symbol
_atom_site_fract_x
_atom_site_fract_y
_atom_site_fract_z
_atom_site_occupancy
Tb1 Tb 0.000 0.000 0.000 1
Cr1 Cr 0.000 0.500 0.750 1
As1 As 0.000 0.000 0.500 1
As2 As 0.000 0.500 0.250 1
O1 O 0.000 0.189 0.680 1
O2 O 0.000 0.320 0.065 1
```

Main lines, most intense first (2θ from 15° to 90°):
25.7°, I 100, hkl 2 0 0; 33.8°, I 70, hkl 1 1 2; 50.8°, I 60, hkl 3 1 2; 36.7°, I 20, hkl 2 2 0; 64.3°, I 18, hkl 3 3 2; 19.0°, I 17, hkl 1 0 1; 52.9°, I 15, hkl 4 0 0; 18.1°, I 14, hkl 1 1 0

=====

For TbCrAsO5, a crystal structure in Alexandria, relaxed with GGA+U gives the simulated powder diffractogram in this record (Cu Kα (λ = 1.5418 Å)).

Crystal structure
```
data_TbCrAsO5
_chemical_formula_sum 'Tb4 Cr4 As4 O20'
_cell_length_a 8.291
_cell_length_b 8.799
_cell_length_c 8.183
_cell_angle_alpha 90.00
_cell_angle_beta 119.28
_cell_angle_gamma 90.00
_space_group_name_H-M_alt 'C 1 2/c 1'
_space_group_IT_number 15
loop_
_space_group_symop_operation_xyz
'x,y,z'
'-x,-y,-z'
'-x,y,-z+1/2'
'x,-y,z+1/2'
'x+1/2,y+1/2,z'
'-x+1/2,-y+1/2,-z'
'-x+1/2,y+1/2,-z+1/2'
'x+1/2,-y+1/2,z+1/2'
loop_
_atom_site_label
_atom_site_type_symbol
_atom_site_fract_x
_atom_site_fract_y
_atom_site_fract_z
_atom_site_occupancy
Tb1 Tb 0.000 0.000 0.000 1
Cr1 Cr 0.000 0.319 0.250 1
As1 As 0.000 0.359 0.750 1
O1 O 0.000 0.101 0.250 1
O2 O 0.010 0.252 0.582 1
O3 O 0.177 0.495 0.846 1
```

Main lines, most intense first (2θ from 15° to 90°):
24.0°, I 100, hkl 1 1 -2; 24.6°, I 77, hkl 2 0 0; 33.0°, I 48, hkl 1 3 0; 32.3°, I 42, hkl 0 2 2; 15.9°, I 28, hkl 1 1 0; 48.6°, I 26, hkl 0 4 2; 34.7°, I 24, hkl 3 1 -2; 34.6°, I 23, hkl 1 1 2

=====

For TmCrAsO5, a crystal structure in Alexandria, relaxed with GGA+U gives the simulated powder diffractogram in this record (Cu Kα (λ = 1.5418 Å)).

Crystal structure
```
data_TmCrAsO5
_chemical_formula_sum 'Tm4 Cr4 As4 O20'
_cell_length_a 6.469
_cell_length_b 9.326
_cell_length_c 7.832
_cell_angle_alpha 90.00
_cell_angle_beta 110.23
_cell_angle_gamma 90.00
_space_group_name_H-M_alt 'C 1 2/c 1'
_space_group_IT_number 15
loop_
_space_group_symop_operation_xyz
'x,y,z'
'-x,-y,-z'
'-x,y,-z+1/2'
'x,-y,z+1/2'
'x+1/2,y+1/2,z'
'-x+1/2,-y+1/2,-z'
'-x+1/2,y+1/2,-z+1/2'
'x+1/2,-y+1/2,z+1/2'
loop_
_atom_site_label
_atom_site_type_symbol
_atom_site_fract_x
_atom_site_fract_y
_atom_site_fract_z
_atom_site_occupancy
Tm1 Tm 0.000 0.000 0.000 1
Cr1 Cr 0.000 0.310 0.250 1
As1 As 0.000 0.314 0.750 1
O1 O 0.000 0.101 0.250 1
O2 O 0.152 0.423 0.923 1
O3 O 0.155 0.197 0.669 1
```

Main lines, most intense first (2θ from 15° to 90°):
25.5°, I 100, hkl 1 1 -2; 31.0°, I 100, hkl 0 2 2; 32.4°, I 79, hkl 1 3 0; 17.4°, I 71, hkl 1 1 0; 29.4°, I 62, hkl 2 0 0; 36.7°, I 36, hkl 2 2 -2; 55.5°, I 27, hkl 1 3 -4; 49.1°, I 27, hkl 2 2 2

=====

For YCrAs2O8, a crystal structure in Alexandria, relaxed with GGA+U gives the simulated powder diffractogram in this record (Cu Kα (λ = 1.5418 Å)).

Crystal structure
```
data_YCrAs2O8
_chemical_formula_sum 'Y2 Cr2 As4 O16'
_cell_length_a 6.912
_cell_length_b 6.912
_cell_length_c 6.304
_cell_angle_alpha 90.00
_cell_angle_beta 90.00
_cell_angle_gamma 90.00
_space_group_name_H-M_alt 'I -4 m 2'
_space_group_IT_number 119
_space_group_name_Hall 'I -4 -2'
loop_
_atom_site_label
_atom_site_type_symbol
_atom_site_fract_x
_atom_site_fract_y
_atom_site_fract_z
_atom_site_occupancy
Y1 Y 0.000 0.000 0.000 1
Cr1 Cr 0.000 0.500 0.250 1
As1 As 0.000 0.000 0.500 1
As2 As 0.000 0.500 0.750 1
O1 O 0.000 0.189 0.319 1
O2 O 0.000 0.320 0.936 1
```

Main lines, most intense first (2θ from 15° to 90°):
25.8°, I 100, hkl 2 0 0; 33.8°, I 65, hkl 1 1 2; 50.8°, I 58, hkl 3 1 2; 64.4°, I 18, hkl 3 3 2; 36.8°, I 16, hkl 2 2 0; 53.0°, I 16, hkl 4 0 0; 65.0°, I 12, hkl 2 0 4; 59.8°, I 11, hkl 4 2 0